[1]
The following is a computed PXRD pattern of Na3SrHg7. It was derived from a PBE-relaxed structure, using Cu Kα (weighted mean of Kα1 and Kα2).

Structural model:
Cell: 11.014 11.014 16.234 Å, 90.00 90.00 160.53°
Sites, in units of the cell vectors:
1 Na 0.116 0.884 0.512
2 Na 0.116 0.884 0.988
3 Na 0.234 0.766 0.250
4 Na 0.766 0.234 0.750
5 Na 0.884 0.116 0.012
6 Na 0.884 0.116 0.488
7 Sr 0.016 0.984 0.250
8 Sr 0.984 0.016 0.750
9 Hg 0.250 0.750 0.579
10 Hg 0.250 0.750 0.921
11 Hg 0.374 0.626 0.654
12 Hg 0.374 0.626 0.846
13 Hg 0.381 0.619 0.250
14 Hg 0.490 0.510 0.088
15 Hg 0.490 0.510 0.412
16 Hg 0.510 0.490 0.588
17 Hg 0.510 0.490 0.912
18 Hg 0.619 0.381 0.750
19 Hg 0.626 0.374 0.154
20 Hg 0.626 0.374 0.346
21 Hg 0.750 0.250 0.079
22 Hg 0.750 0.250 0.421

Most intense lines, 2θ = 10–90°, by intensity:
19.68°, d = 4.512 Å, intensity 100
37.15°, d = 2.420 Å, intensity 97
33.01°, d = 2.714 Å, intensity 92
24.24°, d = 3.671 Å, intensity 89
29.40°, d = 3.038 Å, intensity 88
60.26°, d = 1.536 Å, intensity 62
29.12°, d = 3.067 Å, intensity 62
41.40°, d = 2.181 Å, intensity 60
38.84°, d = 2.319 Å, intensity 58
33.57°, d = 2.670 Å, intensity 52



[2]
The following is a computed PXRD pattern of NaSr2Tl2Hg4. It was derived from a PBE-relaxed structure, using Cu Kα (weighted mean of Kα1 and Kα2).

Structural model:
Cell: 7.282 7.282 7.282 Å, 120.03 120.03 89.95°
Sites, in units of the cell vectors:
1 Na 0.000 0.000 0.000
2 Sr 0.250 0.750 0.500
3 Sr 0.750 0.250 0.500
4 Tl 0.284 0.284 0.000
5 Tl 0.716 0.716 0.000
6 Hg 0.280 0.280 0.561
7 Hg 0.280 0.720 0.000
8 Hg 0.720 0.280 0.000
9 Hg 0.720 0.720 0.439

Most intense lines, 2θ = 10–90°, by intensity:
30.06°, d = 2.973 Å, intensity 100
34.85°, d = 2.574 Å, intensity 53
50.11°, d = 1.820 Å, intensity 31
59.55°, d = 1.552 Å, intensity 30
45.79°, d = 1.982 Å, intensity 23
38.09°, d = 2.362 Å, intensity 16
14.90°, d = 5.945 Å, intensity 15
70.21°, d = 1.341 Å, intensity 14
17.22°, d = 5.149 Å, intensity 13
64.64°, d = 1.442 Å, intensity 13



[3]
The following is a computed PXRD pattern of NaSrY2Hg4. It was derived from a PBE-relaxed structure, using Cu Kα (weighted mean of Kα1 and Kα2).

Structural model:
Cell: 9.400 9.400 9.400 Å, 32.64 32.64 32.64°
Sites, in units of the cell vectors:
1 Na 0.000 0.000 0.000
2 Sr 0.500 0.500 0.500
3 Y 0.256 0.256 0.256
4 Y 0.744 0.744 0.744
5 Hg 0.117 0.117 0.117
6 Hg 0.374 0.374 0.374
7 Hg 0.626 0.626 0.626
8 Hg 0.883 0.883 0.883

Most intense lines, 2θ = 10–90°, by intensity:
33.94°, d = 2.641 Å, intensity 100
33.25°, d = 2.695 Å, intensity 99
23.58°, d = 3.772 Å, intensity 50
60.30°, d = 1.535 Å, intensity 36
48.25°, d = 1.886 Å, intensity 35
60.74°, d = 1.525 Å, intensity 19
81.10°, d = 1.186 Å, intensity 16
58.96°, d = 1.566 Å, intensity 16
79.93°, d = 1.200 Å, intensity 13
41.75°, d = 2.164 Å, intensity 12



[4]
The following is a computed PXRD pattern of NaTbHg4. It was derived from a PBE-relaxed structure, using Cu Kα (weighted mean of Kα1 and Kα2).

Structural model:
Cell: 4.646 8.709 7.765 Å, 90.00 107.15 90.00°
Sites, in units of the cell vectors:
1 Na 0.151 0.250 0.301
2 Na 0.849 0.750 0.699
3 Tb 0.158 0.750 0.316
4 Tb 0.842 0.250 0.684
5 Hg 0.000 0.000 0.000
6 Hg 0.000 0.500 0.000
7 Hg 0.323 0.504 0.648
8 Hg 0.323 0.996 0.648
9 Hg 0.493 0.250 0.989
10 Hg 0.507 0.750 0.011
11 Hg 0.677 0.004 0.352
12 Hg 0.677 0.496 0.352

Most intense lines, 2θ = 10–90°, by intensity:
33.52°, d = 2.673 Å, intensity 100
36.32°, d = 2.473 Å, intensity 19
70.58°, d = 1.334 Å, intensity 17
38.76°, d = 2.323 Å, intensity 17
41.47°, d = 2.177 Å, intensity 14
56.29°, d = 1.634 Å, intensity 11
58.06°, d = 1.589 Å, intensity 11
63.66°, d = 1.462 Å, intensity 7
66.93°, d = 1.398 Å, intensity 7
66.76°, d = 1.401 Å, intensity 7